1.
The following is a calculated powder diffraction line list of Ce3Mg2Ga4. It was derived from a PBE-relaxed structure, using Cu Kα.
Lines closer than 0.1° are merged.

Cell and atoms:
Cell: 5.8887 5.8887 8.9146 Å, 111.98 111.98 46.71°
Element x y z (fractional)
1 Ce 0.0000 0.0000 0.0000
2 Ce 0.3344 0.3344 0.3307
3 Ce 0.6656 0.6656 0.6693
4 Mg 0.3864 0.3864 0.7187
5 Mg 0.6136 0.6136 0.2813
6 Ga 0.0737 0.0737 0.4141
7 Ga 0.2988 0.2988 0.9694
8 Ga 0.7012 0.7012 0.0306
9 Ga 0.9263 0.9263 0.5859

Main lines, in order of falling intensity (2θ = 5–70°):
- 38.51°, intensity 1000
- 33.31°, intensity 593
- 33.13°, intensity 568
- 33.01°, intensity 291
- 21.97°, intensity 288
- 33.36°, intensity 278
- 51.91°, intensity 244
- 66.49°, intensity 232
- 21.90°, intensity 208
- 51.65°, intensity 162

***

2.
The following is a calculated powder diffraction line list of Tb19Sm4Dy6. It was derived from a PBE-relaxed structure, using Cu Kα.
Lines closer than 0.1° are merged.

Cell and atoms:
Cell: 10.8066 10.8066 10.8066 Å, 109.47 109.47 109.47°
Element x y z (fractional)
1 Tb 0.0000 0.0000 0.0000
2 Tb 0.0000 0.2602 0.2602
3 Tb 0.0000 0.7398 0.7398
4 Tb 0.0157 0.2173 0.6753
5 Tb 0.2016 0.9843 0.6596
6 Tb 0.2173 0.6753 0.0157
7 Tb 0.2602 0.0000 0.2602
8 Tb 0.2602 0.2602 0.0000
9 Tb 0.3247 0.5420 0.3404
10 Tb 0.3404 0.3247 0.5420
11 Tb 0.4580 0.7827 0.7984
12 Tb 0.5420 0.3404 0.3247
13 Tb 0.6596 0.2016 0.9843
14 Tb 0.6753 0.0157 0.2173
15 Tb 0.7398 0.0000 0.7398
16 Tb 0.7398 0.7398 0.0000
17 Tb 0.7827 0.7984 0.4580
18 Tb 0.7984 0.4580 0.7827
19 Tb 0.9843 0.6596 0.2016
20 Sm 0.0000 0.0000 0.3605
21 Sm 0.0000 0.3605 0.0000
22 Sm 0.3605 0.0000 0.0000
23 Sm 0.6395 0.6395 0.6395
24 Dy 0.1252 0.5000 0.6252
25 Dy 0.3748 0.8748 0.5000
26 Dy 0.5000 0.3748 0.8748
27 Dy 0.5000 0.6252 0.1252
28 Dy 0.6252 0.1252 0.5000
29 Dy 0.8748 0.5000 0.3748

Main lines, in order of falling intensity (2θ = 5–70°):
- 30.39°, intensity 1000
- 36.72°, intensity 729
- 28.61°, intensity 608
- 26.73°, intensity 491
- 35.23°, intensity 405
- 60.25°, intensity 289
- 54.00°, intensity 255
- 61.25°, intensity 227
- 42.23°, intensity 219
- 33.69°, intensity 182